This entry pairs a crystal structure of Cs2In3 with its theoretical powder XRD pattern. Radiation: a wavelength of 1.5418 Å. Structure: the GGA-PBE geometry in the Materials Project.
Peak positions follow from Bragg's law for the DFT cell and can differ from measured ones.

abc: 9.851 9.851 9.851
angles: 137.75 137.75 61.29
Element x y z (fractional)
Cs 0.000 0.000 0.000
Cs 0.500 0.500 0.000
Cs 0.638 0.138 0.500
Cs 0.862 0.362 0.500
In 0.109 0.609 0.500
In 0.256 0.050 0.794
In 0.256 0.462 0.206
In 0.391 0.891 0.500
In 0.538 0.744 0.794
In 0.950 0.744 0.206

Peak list (10 most intense, 10 to 90 degrees two-theta, in order of rising 2θ)
Position (°2θ), d_spacing, intensity
25.08, 3.551, 55
27.54, 3.238, 100
28.60, 3.121, 25
32.34, 2.768, 21
37.36, 2.407, 27
41.82, 2.160, 16
45.73, 1.984, 26
51.48, 1.775, 14
69.03, 1.361, 15
71.28, 1.323, 18

This entry pairs a crystal structure of CaTe with its theoretical powder XRD pattern. Radiation: a wavelength of 1.5418 Å. Structure: the GGA-PBE geometry in the Materials Project.
Peak positions follow from Bragg's law for the DFT cell and can differ from measured ones.

abc: 4.459 4.459 7.661
angles: 90.00 90.00 120.00
Element x y z (fractional)
Ca 0.000 0.000 0.000
Ca 0.000 0.000 0.500
Te 0.333 0.667 0.250
Te 0.667 0.333 0.750

Peak list (10 most intense, 10 to 90 degrees two-theta, in order of rising 2θ)
Position (°2θ), d_spacing, intensity
23.22, 3.830, 12
25.84, 3.449, 100
32.93, 2.720, 50
40.45, 2.230, 36
42.44, 2.130, 26
47.16, 1.927, 12
48.63, 1.872, 18
53.12, 1.724, 12
64.10, 1.453, 18
65.05, 1.434, 15

This entry pairs a crystal structure of Al2O3 with its theoretical powder XRD pattern. Radiation: a wavelength of 1.5418 Å. Structure: the GGA-PBE geometry in the Materials Project.
Peak positions follow from Bragg's law for the DFT cell and can differ from measured ones.

abc: 5.630 5.652 14.084
angles: 89.62 89.16 60.23
Element x y z (fractional)
Al 0.000 0.000 0.000
Al 0.001 0.501 0.001
Al 0.038 0.461 0.497
Al 0.168 0.642 0.331
Al 0.170 0.172 0.330
Al 0.337 0.826 0.165
Al 0.351 0.827 0.799
Al 0.477 0.482 0.621
Al 0.502 0.498 0.002
Al 0.503 0.000 0.002
Al 0.652 0.184 0.829
Al 0.669 0.161 0.209
Al 0.671 0.655 0.344
Al 0.821 0.817 0.671
Al 0.982 0.002 0.496
Al 0.986 0.287 0.677
O 0.001 0.021 0.758
O 0.021 0.983 0.245
O 0.043 0.518 0.736
O 0.149 0.671 0.570
O 0.164 0.146 0.568
O 0.175 0.147 0.071
O 0.175 0.674 0.072
O 0.312 0.834 0.395
O 0.313 0.335 0.406
O 0.337 0.830 0.925
O 0.359 0.322 0.930
O 0.487 0.515 0.247
O 0.487 0.985 0.246
O 0.527 0.490 0.751
O 0.537 0.988 0.760
O 0.643 0.677 0.073
O 0.664 0.168 0.080
O 0.711 0.131 0.597
O 0.717 0.603 0.596
O 0.825 0.326 0.931
O 0.828 0.849 0.933
O 0.857 0.318 0.418
O 0.860 0.796 0.421
O 0.980 0.503 0.268

Peak list (10 most intense, 10 to 90 degrees two-theta, in order of rising 2θ)
Position (°2θ), d_spacing, intensity
18.90, 4.694, 62
19.15, 4.634, 100
37.02, 2.428, 70
37.24, 2.415, 36
44.94, 2.017, 90
45.03, 2.013, 93
45.46, 1.995, 87
65.26, 1.430, 41
65.81, 1.419, 37
66.14, 1.413, 39

This entry pairs a crystal structure of Li4Zr3O8 with its theoretical powder XRD pattern. Radiation: a wavelength of 1.5418 Å. Structure: the GGA-PBE geometry in the Materials Project.
Peak positions follow from Bragg's law for the DFT cell and can differ from measured ones.

abc: 5.465 6.208 10.198
angles: 90.00 99.74 90.00
Element x y z (fractional)
Li 0.000 0.123 0.250
Li 0.000 0.877 0.750
Li 0.257 0.373 0.492
Li 0.257 0.627 0.992
Li 0.500 0.143 0.750
Li 0.500 0.857 0.250
Li 0.743 0.373 0.008
Li 0.743 0.627 0.508
Zr 0.000 0.397 0.750
Zr 0.000 0.603 0.250
Zr 0.265 0.139 0.020
Zr 0.265 0.861 0.520
Zr 0.735 0.139 0.480
Zr 0.735 0.861 0.980
O 0.102 0.373 0.125
O 0.102 0.627 0.625
O 0.109 0.124 0.621
O 0.109 0.876 0.121
O 0.342 0.358 0.879
O 0.342 0.642 0.379
O 0.378 0.105 0.389
O 0.378 0.895 0.889
O 0.622 0.105 0.111
O 0.622 0.895 0.611
O 0.658 0.358 0.621
O 0.658 0.642 0.121
O 0.891 0.124 0.879
O 0.891 0.876 0.379
O 0.898 0.373 0.375
O 0.898 0.627 0.875

Peak list (10 most intense, 10 to 90 degrees two-theta, in order of rising 2θ)
Position (°2θ), d_spacing, intensity
17.65, 5.026, 25
21.85, 4.068, 27
22.50, 3.951, 100
22.77, 3.906, 91
36.36, 2.471, 24
36.86, 2.439, 28
40.59, 2.222, 48
41.23, 2.189, 95
58.77, 1.571, 29
59.71, 1.549, 23